Calculated X-ray diffraction stick pattern
Compound: ZrCd2SnO6
Radiation: Cu Kα X-rays
Structure: a structure optimized by DFT (GGA-PBE)
Kinematic intensities with the Lorentz-polarization factor, no thermal factor.

Cell lengths 5.6166, 5.6166, 14.5242 Å; angles 90.00, 90.00, 120.00 degrees
Space group R3 (No. 146, hexagonal axes)
One atom of each set of equivalent atoms:
Zr1 0.0000 0.0000 0.0000 [3 per cell]
Cd1 0.0000 0.0000 0.2695 [3 per cell]
Cd2 0.0000 0.0000 0.7754 [3 per cell]
Sn1 0.0000 0.0000 0.4978 [3 per cell]
O1 0.0626 0.3425 0.5721 [9 per cell]
O2 0.0649 0.7174 0.0737 [9 per cell]

The 10 most intense peaks (2θ = 10–80°), by angle:
| Position (°2θ) | Rel. int. |
| --- | --- |
| 30.73 | 100.0 |
| 31.87 | 87.7 |
| 44.86 | 45.4 |
| 49.73 | 15.1 |
| 53.90 | 15.9 |
| 56.07 | 38.8 |
| 56.78 | 25.6 |
| 66.60 | 11.8 |
| 73.28 | 12.5 |
| 75.12 | 14.2 |